No. 1
This entry pairs a crystal structure of Sm6RuSe5 with its simulated PXRD pattern. Radiation: Cu Kα. Structure: a structure optimized by DFT (GGA-PBE).
No peak broadening, texture or thermal motion is included.

Peak list (8 most intense, 5° ≤ 2θ ≤ 70°, by angle)
d = 3.433 Å, 26.0°, intensity 109; d = 2.970 Å, 30.1°, intensity 1000; d = 2.103 Å, 43.0°, intensity 481; d = 2.094 Å, 43.2°, intensity 241; d = 1.720 Å, 53.2°, intensity 62; d = 1.715 Å, 53.4°, intensity 123; d = 1.709 Å, 53.6°, intensity 63; d = 1.486 Å, 62.5°, intensity 74

```
Sm6RuSe5
1.0
3.6477 -6.3043 0.0000
3.6477 6.3043 0.0000
-2.4071 0.0000 6.8360
Sm Ru Se
6 1 5
Cartesian
-0.0580 1.9743 5.0315 Sm
1.0591 0.0000 1.7911 Sm
-0.0580 -1.9743 5.0315 Sm
4.9463 1.9743 1.8045 Sm
3.8291 0.0000 5.0449 Sm
4.9463 -1.9743 1.8045 Sm
-1.2035 0.0000 3.4180 Ru
3.6477 4.1032 0.0000 Se
2.4441 2.0863 3.4180 Se
3.6477 0.0000 0.0000 Se
2.4441 -2.0863 3.4180 Se
3.6477 -4.1032 0.0000 Se
```

---

No. 2
This entry pairs a crystal structure of SrRu4Se with its simulated PXRD pattern. Radiation: Cu Kα. Structure: a structure optimized by DFT (GGA-PBE).
No peak broadening, texture or thermal motion is included.

Peak list (8 most intense, 5° ≤ 2θ ≤ 70°, by angle)
d = 4.359 Å, 20.4°, intensity 141; d = 2.669 Å, 33.6°, intensity 212; d = 2.277 Å, 39.6°, intensity 1000; d = 2.180 Å, 41.4°, intensity 472; d = 1.888 Å, 48.2°, intensity 80; d = 1.732 Å, 52.9°, intensity 32; d = 1.541 Å, 60.0°, intensity 78; d = 1.453 Å, 64.1°, intensity 315

```
SrRu4Se
1.0
0.0000 3.7752 3.7752
3.7752 0.0000 3.7752
3.7752 3.7752 0.0000
Sr Ru Se
1 4 1
Cartesian
0.0000 0.0000 0.0000 Sr
4.7084 2.8420 2.8420 Ru
2.8420 4.7084 2.8420 Ru
2.8420 2.8420 4.7084 Ru
4.7084 4.7084 4.7084 Ru
1.8876 1.8876 1.8876 Se
```

---

No. 3
This entry pairs a crystal structure of SrRuW2Se with its simulated PXRD pattern. Radiation: Cu Kα. Structure: a structure optimized by DFT (GGA-PBE).
No peak broadening, texture or thermal motion is included.

Peak list (8 most intense, 5° ≤ 2θ ≤ 70°, by angle)
d = 5.140 Å, 17.3°, intensity 358; d = 2.837 Å, 31.5°, intensity 1000; d = 2.570 Å, 34.9°, intensity 368; d = 2.405 Å, 37.4°, intensity 609; d = 1.756 Å, 52.1°, intensity 470; d = 1.701 Å, 53.9°, intensity 212; d = 1.459 Å, 63.8°, intensity 267; d = 1.418 Å, 65.8°, intensity 232

```
SrRuW2Se
1.0
4.8106 0.0000 0.0000
0.0000 4.8106 0.0000
0.0000 0.0000 5.1404
Sr Ru W Se
1 1 2 1
Cartesian
0.0000 0.0000 0.0000 Sr
2.4053 2.4053 2.5702 Ru
0.0000 2.4053 0.0000 W
2.4053 0.0000 0.0000 W
0.0000 0.0000 2.5702 Se
```

---

No. 4
This entry pairs a crystal structure of Th2RuSe with its simulated PXRD pattern. Radiation: Cu Kα. Structure: a structure optimized by DFT (GGA-PBE).
No peak broadening, texture or thermal motion is included.

Peak list (8 most intense, 5° ≤ 2θ ≤ 70°, by angle)
d = 7.384 Å, 12.0°, intensity 117; d = 3.375 Å, 26.4°, intensity 238; d = 2.985 Å, 29.9°, intensity 1000; d = 2.182 Å, 41.4°, intensity 341; d = 2.046 Å, 44.3°, intensity 371; d = 1.750 Å, 52.3°, intensity 115; d = 1.688 Å, 54.4°, intensity 191; d = 1.371 Å, 68.5°, intensity 106

```
Th2RuSe
1.0
4.0917 0.0000 0.0000
-2.0459 3.5436 0.0000
0.0000 0.0000 22.1510
Th Ru Se
6 3 3
Cartesian
0.0000 0.0000 5.2684 Th
0.0000 0.0000 16.8826 Th
0.0000 2.3624 9.4990 Th
0.0000 2.3624 20.0357 Th
2.0459 1.1812 2.1153 Th
2.0459 1.1812 12.6521 Th
0.0000 0.0000 11.0755 Ru
0.0000 2.3624 3.6918 Ru
2.0459 1.1812 18.4592 Ru
0.0000 0.0000 0.0000 Se
0.0000 2.3624 14.7674 Se
2.0459 1.1812 7.3837 Se
```

---

No. 5
This entry pairs a crystal structure of Th4RuSe5 with its simulated PXRD pattern. Radiation: Cu Kα. Structure: a structure optimized by DFT (GGA-PBE).
No peak broadening, texture or thermal motion is included.

Peak list (8 most intense, 5° ≤ 2θ ≤ 70°, by angle)
d = 8.657 Å, 10.2°, intensity 227; d = 8.289 Å, 10.7°, intensity 486; d = 3.016 Å, 29.6°, intensity 1000; d = 2.886 Å, 31.0°, intensity 433; d = 2.155 Å, 41.9°, intensity 188; d = 2.113 Å, 42.8°, intensity 551; d = 2.057 Å, 44.0°, intensity 340; d = 1.704 Å, 53.8°, intensity 215

```
Th4RuSe5
1.0
9.0093 -2.1116 0.0000
9.0093 2.1116 0.0000
-2.3878 0.0000 8.2889
Th Ru Se
4 1 5
Cartesian
-0.5294 0.0000 2.0404 Th
3.9893 0.0000 7.5343 Th
11.6415 0.0000 0.7545 Th
16.1602 0.0000 6.2485 Th
9.0093 0.0000 0.0000 Ru
1.0218 0.0000 7.0456 Se
2.2719 0.0000 2.7356 Se
7.8154 0.0000 4.1444 Se
13.3589 0.0000 5.5533 Se
14.6090 0.0000 1.2433 Se
```

---

No. 6
This entry pairs a crystal structure of Tm7RuSe5 with its simulated PXRD pattern. Radiation: Cu Kα. Structure: a structure optimized by DFT (GGA-PBE).
No peak broadening, texture or thermal motion is included.

Peak list (8 most intense, 5° ≤ 2θ ≤ 70°, by angle)
d = 3.073 Å, 29.1°, intensity 730; d = 2.897 Å, 30.9°, intensity 328; d = 2.837 Å, 31.5°, intensity 1000; d = 2.760 Å, 32.4°, intensity 427; d = 2.745 Å, 32.6°, intensity 617; d = 2.187 Å, 41.3°, intensity 512; d = 2.009 Å, 45.1°, intensity 303; d = 1.945 Å, 46.7°, intensity 367

```
Tm7RuSe5
1.0
1.9445 -6.6215 0.0000
1.9445 6.6215 0.0000
0.0000 0.0000 24.2878
Tm Ru Se
14 2 10
Cartesian
1.9445 6.0289 12.1439 Tm
1.9445 4.8470 5.2910 Tm
1.9445 4.7135 19.2121 Tm
1.9445 2.8190 10.5596 Tm
1.9445 2.5662 13.8070 Tm
1.9445 1.4328 2.8984 Tm
1.9445 1.1013 21.0828 Tm
1.9445 -1.1013 8.9389 Tm
1.9445 -1.4328 15.0423 Tm
1.9445 -2.5662 1.6631 Tm
1.9445 -2.8190 22.7035 Tm
1.9445 -4.7135 7.0682 Tm
1.9445 -4.8470 17.4349 Tm
1.9445 -6.0289 0.0000 Tm
1.9445 2.5289 0.2435 Ru
1.9445 -2.5289 12.3874 Ru
1.9445 5.9847 2.7340 Se
1.9445 5.7860 21.7642 Se
1.9445 3.7602 7.8726 Se
1.9445 3.6298 16.5409 Se
1.9445 0.0733 6.1630 Se
1.9445 -0.0733 18.3068 Se
1.9445 -3.6298 4.3970 Se
1.9445 -3.7602 20.0165 Se
1.9445 -5.7860 9.6203 Se
1.9445 -5.9847 14.8779 Se
```